Simulated powder diffraction line list
Compound: RbZr2As3O12
Radiation: CuKα
Structure: DFT lattice parameters and positions (GGA-PBE)
Peak positions follow from Bragg's law for the DFT cell and can differ from measured ones.

Largest 6 diffraction maxima, by angle, 2θ from 10° to 90°:
2θ (°)	I_rel
19.3	41
22.0	94
26.4	18
28.6	100
33.8	38
44.9	31

```
RbZr2As3O12
1.0
4.5944 2.6526 8.4837
-4.5944 2.6526 8.4837
0.0000 -5.3051 8.4837
Rb Zr As O
2 4 6 24
Direct
0.0000 0.0000 0.0000 Rb
0.5000 0.5000 0.5000 Rb
0.1491 0.1491 0.1491 Zr
0.3509 0.3509 0.3509 Zr
0.6491 0.6491 0.6491 Zr
0.8509 0.8509 0.8509 Zr
0.0312 0.7500 0.4688 As
0.2500 0.5312 0.9688 As
0.4688 0.0312 0.7500 As
0.5312 0.9688 0.2500 As
0.7500 0.4688 0.0312 As
0.9688 0.2500 0.5312 As
0.0124 0.7474 0.6511 O
0.0662 0.7084 0.9314 O
0.0686 0.9337 0.2916 O
0.1511 0.2474 0.5124 O
0.2084 0.5663 0.4314 O
0.2474 0.5124 0.1511 O
0.2526 0.3489 0.9876 O
0.2916 0.0686 0.9338 O
0.3489 0.9876 0.2526 O
0.4314 0.2084 0.5662 O
0.4337 0.5686 0.7916 O
0.4876 0.8489 0.7526 O
0.5124 0.1511 0.2474 O
0.5662 0.4314 0.2084 O
0.5686 0.7916 0.4337 O
0.6511 0.0124 0.7474 O
0.7084 0.9314 0.0662 O
0.7474 0.6511 0.0124 O
0.7526 0.4876 0.8489 O
0.7916 0.4338 0.5686 O
0.8489 0.7526 0.4876 O
0.9314 0.0662 0.7084 O
0.9337 0.2916 0.0686 O
0.9876 0.2526 0.3489 O
```